GaSi2HS: theoretical XRD peak list (Cu Kα, 1.54184 Å), based on a GGA-PBE-relaxed structure.
Kinematic intensities with the Lorentz-polarization factor, no thermal factor.

Principal peaks in the range 10 to 90 degrees two-theta, in order of falling intensity:
10.33 deg, d 8.561, I = 1000
27.49 deg, d 3.245, I = 544
30.67 deg, d 2.915, I = 522
44.87 deg, d 2.020, I = 351
20.75 deg, d 4.281, I = 307
48.18 deg, d 1.889, I = 305
53.00 deg, d 1.728, I = 127
49.42 deg, d 1.844, I = 121
31.34 deg, d 2.854, I = 117
58.62 deg, d 1.575, I = 113

Cell and atoms:
Unit cell a=8.8348 b=8.8348 c=8.8348 alpha=24.69 beta=24.69 gamma=24.69
Sites, in units of the cell vectors:
Ga: 0.0000 0.0000 0.0000
Si: 0.2087 0.2087 0.2087
Si: 0.9062 0.9062 0.9062
H: 0.1502 0.1502 0.1502
S: 0.7062 0.7062 0.7062